Record 1
For CrTeCl, a crystal structure in Alexandria, relaxed with PBE gives the simulated powder XRD pattern in this record (Cu Kα X-rays).

Main lines, low angle first (2θ from 15° to 90°):
d [Å]	Rel. int.
4.504	33
3.378	30
3.114	65
2.931	42
2.915	74
2.885	63
2.871	46
2.631	68
2.312	46
1.854	100

Structural model:
a = 3.7088 Å, b = 3.7088 Å, c = 13.5172 Å
α = 91.32°, β = 91.32°, γ = 59.98°
Fractional positions:
Cr 0.0000 0.0000 0.0000
Cr 0.7067 0.7067 0.5270
Te 0.0333 0.0333 0.4090
Te 0.3400 0.3400 0.1181
Cl 0.3790 0.3790 0.6283
Cl 0.6612 0.6612 0.8988


Record 2
For Dy6YS8, a crystal structure in Alexandria, relaxed with PBE gives the simulated powder XRD pattern in this record (Cu Kα X-rays).

Main lines, low angle first (2θ from 15° to 90°):
d [Å]	Rel. int.
5.513	16
3.898	15
3.183	68
2.756	100
1.949	71
1.662	33
1.591	25
1.265	13
1.233	32
1.125	25

Structural model:
a = 7.7962 Å, b = 7.7962 Å, c = 7.7962 Å
α = 60.00°, β = 60.00°, γ = 60.00°
Fractional positions:
Dy 0.0000 0.0000 0.5000
Dy 0.0000 0.5000 0.0000
Dy 0.0000 0.5000 0.5000
Dy 0.5000 0.0000 0.0000
Dy 0.5000 0.0000 0.5000
Dy 0.5000 0.5000 0.0000
Y 0.0000 0.0000 0.0000
S 0.2500 0.2500 0.2500
S 0.2512 0.2512 0.7488
S 0.2512 0.7488 0.2512
S 0.2512 0.7488 0.7488
S 0.7488 0.2512 0.2512
S 0.7488 0.2512 0.7488
S 0.7488 0.7488 0.2512
S 0.7500 0.7500 0.7500


What is the formula in the first record? CrTeCl